Entry 1:
Rb2HgAsBr6: computed powder XRD pattern (Cu Kα X-rays), based on a structure optimized by DFT (PBE).
Intensities are scaled so that the largest is 100.

Crystal structure
Cell: 11.2547 11.2547 11.2547 Å, 90.00 90.00 90.00°
Space group Fm-3m (No. 225)
Symmetry-distinct sites (fractional):
Rb  0.2500  0.2500  0.2500
Hg  0.0000  0.0000  0.0000
As  0.0000  0.0000  0.5000
Br  0.0000  0.0000  0.2617

Principal peaks in the range 10° ≤ 2θ ≤ 80°, most intense first:
h k l  two_theta  I_rel
4 0 0  31.80  100
4 4 0  45.60  71
2 2 0  22.34  46
2 0 0  15.75  45
2 2 2  27.45  34
8 4 0  75.56  31
4 4 4  56.66  24
4 2 0  35.68  23
4 2 2  39.21  21
3 1 1  26.26  13
6 2 2  54.05  13
6 4 2  61.67  12


Entry 2:
Hg3As8S8Br6: computed powder XRD pattern (Cu Kα X-rays), based on a structure optimized by DFT (PBE).
Intensities are scaled so that the largest is 100.

Crystal structure
Cell: 10.2010 11.9561 14.6562 Å, 90.00 107.97 90.00°
Space group P2_1/c (No. 14)
Symmetry-distinct sites (fractional):
Hg  0.0000  0.0000  0.0000
Hg  0.2414  0.2213  0.3064
As  0.1319  0.6744  0.0242
As  0.3720  0.6458  0.6826
As  0.3782  0.5852  0.0816
As  0.3872  0.6345  0.5068
S  0.1522  0.7073  0.6484
S  0.1723  0.6938  0.4252
S  0.4620  0.6801  0.2216
S  0.4843  0.6966  0.0004
Br  0.1589  0.0347  0.3359
Br  0.2128  0.1167  0.0562
Br  0.2625  0.0787  0.7691

Principal peaks in the range 10° ≤ 2θ ≤ 80°, most intense first:
h k l  two_theta  I_rel
1 1 -2  15.11  100
0 1 2  14.71  83
3 1 0  28.60  70
0 1 4  26.65  62
1 0 -4  24.30  48
2 0 2  25.40  41
2 1 -4  27.55  32
1 1 -1  11.94  32
5 2 -2  47.07  28
3 2 -4  34.88  27
2 0 0  18.29  27
1 1 -3  19.89  27


Entry 3:
Hg3AsSe4Br: computed powder XRD pattern (Cu Kα X-rays), based on a structure optimized by DFT (PBE).
Intensities are scaled so that the largest is 100.

Crystal structure
Cell: 7.8769 7.8769 10.3496 Å, 90.00 90.00 120.00°
Space group P6_3mc (No. 186)
Symmetry-distinct sites (fractional):
Hg  0.0006  0.5003  0.0000
As  0.0000  0.0000  0.4948
Se  0.1510  0.3020  0.6220
Se  0.3333  0.6667  0.8727
Br  0.3333  0.6667  0.3043

Principal peaks in the range 10° ≤ 2θ ≤ 80°, most intense first:
h k l  two_theta  I_rel
2 0 2  31.41  100
2 0 4  43.92  59
0 0 2  17.14  55
2 2 0  46.09  38
2 0 0  26.13  36
2 2 2  49.53  22
1 1 2  28.48  21
4 0 2  56.84  19
4 0 4  65.56  17
4 2 2  76.09  16
2 0 1  27.53  15
2 0 6  60.11  15


Entry 4:
K2InAsBr6: computed powder XRD pattern (Cu Kα X-rays), based on a structure optimized by DFT (PBE).
Intensities are scaled so that the largest is 100.

Crystal structure
Cell: 11.3557 11.3557 11.3557 Å, 90.00 90.00 90.00°
Space group Fm-3m (No. 225)
Symmetry-distinct sites (fractional):
K  0.2500  0.2500  0.2500
In  0.0000  0.0000  0.0000
As  0.0000  0.0000  0.5000
Br  0.0000  0.0000  0.2632

Principal peaks in the range 10° ≤ 2θ ≤ 80°, most intense first:
h k l  two_theta  I_rel
4 0 0  31.51  100
2 0 0  15.61  73
4 4 0  45.17  70
2 2 2  27.20  48
4 2 0  35.35  37
8 4 0  74.78  28
4 4 4  56.11  23
6 0 0  48.07  19
6 2 2  53.53  18
2 2 0  22.14  12
6 4 4  68.09  10
8 0 0  65.79  10


Entry 5:
Rb2InAsBr6: computed powder XRD pattern (Cu Kα X-rays), based on a structure optimized by DFT (PBE).
Intensities are scaled so that the largest is 100.

Crystal structure
Cell: 11.4191 11.4191 11.4191 Å, 90.00 90.00 90.00°
Space group Fm-3m (No. 225)
Symmetry-distinct sites (fractional):
Rb  0.2500  0.2500  0.2500
In  0.0000  0.0000  0.0000
As  0.0000  0.0000  0.5000
Br  0.0000  0.0000  0.2641

Principal peaks in the range 10° ≤ 2θ ≤ 80°, most intense first:
h k l  two_theta  I_rel
4 0 0  31.33  100
4 4 0  44.90  70
2 2 2  27.05  59
2 2 0  22.02  29
8 4 0  74.29  29
2 0 0  15.52  27
4 4 4  55.77  24
6 2 2  53.21  23
4 2 0  35.15  13
4 2 2  38.63  12
8 0 0  65.38  11
6 6 2  72.11  9


Entry 6:
K2NaAsBr6: computed powder XRD pattern (Cu Kα X-rays), based on a structure optimized by DFT (PBE).
Intensities are scaled so that the largest is 100.

Crystal structure
Cell: 11.1008 11.1008 11.1008 Å, 90.00 90.00 90.00°
Space group Fm-3m (No. 225)
Symmetry-distinct sites (fractional):
K  0.2500  0.2500  0.2500
Na  0.0000  0.0000  0.0000
As  0.0000  0.0000  0.5000
Br  0.0000  0.0000  0.2605

Principal peaks in the range 10° ≤ 2θ ≤ 80°, most intense first:
h k l  two_theta  I_rel
4 0 0  32.26  100
2 2 2  27.84  97
4 4 0  46.26  69
2 0 0  15.97  42
6 2 2  54.86  38
8 4 0  76.80  28
4 4 4  57.52  23
4 2 0  36.19  21
1 1 1  13.82  17
6 6 2  74.52  15
6 0 0  49.25  11
8 0 0  67.50  10


Entry 7:
K2TlAsBr6: computed powder XRD pattern (Cu Kα X-rays), based on a structure optimized by DFT (PBE).
Intensities are scaled so that the largest is 100.

Crystal structure
Cell: 11.5281 11.5281 11.5281 Å, 90.00 90.00 90.00°
Space group Fm-3m (No. 225)
Symmetry-distinct sites (fractional):
K  0.2500  0.2500  0.2500
Tl  0.0000  0.0000  0.0000
As  0.0000  0.0000  0.5000
Br  0.0000  0.0000  0.2687

Principal peaks in the range 10° ≤ 2θ ≤ 80°, most intense first:
h k l  two_theta  I_rel
2 0 0  15.37  100
4 0 0  31.03  99
4 4 0  44.46  69
4 2 0  34.80  50
2 2 0  21.81  28
8 4 0  73.47  27
6 0 0  47.31  27
2 2 2  26.79  23
4 4 4  55.20  23
3 3 1  33.89  21
3 1 1  25.63  18
6 4 0  57.66  15